# 1
Starting from DFT lattice parameters and positions (GGA-PBE), the powder diffraction line list of Tb4Pm3Sn4 was computed for Cu Ka.

Structure:
```
data_Tb4Pm3Sn4
_cell_length_a 3.860
_cell_length_b 5.073
_cell_length_c 34.114
_cell_angle_alpha 90.00
_cell_angle_beta 90.00
_cell_angle_gamma 90.00
_space_group_name_H-M_alt 'I m m m'
_space_group_IT_number 71
_space_group_name_Hall '-I 2 2'
loop_
_atom_site_label
_atom_site_fract_x
_atom_site_fract_y
_atom_site_fract_z
_atom_site_occupancy
Tb1 0.000 0.000 0.094 1
Tb2 0.000 0.500 0.237 1
Pm1 0.000 0.000 0.353 1
Pm2 0.000 0.500 0.500 1
Sn1 0.000 0.000 0.184 1
Sn2 0.000 0.500 0.045 1
```

Most intense lines, 10° ≤ 2θ ≤ 90°, sorted by position:
2θ/deg	I_rel
29.52	48
30.94	100
33.88	71
35.39	39
46.73	26
59.27	29

# 2
Starting from DFT lattice parameters and positions (GGA-PBE), the powder diffraction line list of Ac4PuTe5 was computed for Cu Ka.

Structure:
```
data_Ac4PuTe5
_cell_length_a 10.464
_cell_length_b 10.464
_cell_length_c 6.630
_cell_angle_alpha 90.00
_cell_angle_beta 90.00
_cell_angle_gamma 90.00
_space_group_name_H-M_alt 'I 4'
_space_group_IT_number 79
_space_group_name_Hall 'I 4'
loop_
_atom_site_label
_atom_site_fract_x
_atom_site_fract_y
_atom_site_fract_z
_atom_site_occupancy
Ac1 0.094 0.697 0.000 1
Pu1 0.000 0.000 0.501 1
Te1 0.000 0.000 0.001 1
Te2 0.099 0.712 0.500 1
```

Most intense lines, 10° ≤ 2θ ≤ 90°, sorted by position:
2θ/deg	I_rel
26.93	100
38.45	78
47.57	28
62.73	25
69.55	27
88.62	17

# 3
Starting from DFT lattice parameters and positions (GGA-PBE), the powder diffraction line list of Pm7Ag4Pb was computed for Cu Ka.

Structure:
```
data_Pm7Ag4Pb
_cell_length_a 14.719
_cell_length_b 5.882
_cell_length_c 9.324
_cell_angle_alpha 90.00
_cell_angle_beta 120.71
_cell_angle_gamma 90.00
_space_group_name_H-M_alt 'C 1 2/m 1'
_space_group_IT_number 12
_space_group_name_Hall '-C 2y'
loop_
_atom_site_label
_atom_site_fract_x
_atom_site_fract_y
_atom_site_fract_z
_atom_site_occupancy
Pm1 0.000 0.000 0.000 1
Pm2 0.077 0.500 0.408 1
Pm3 0.180 0.500 0.882 1
Pm4 0.225 0.000 0.689 1
Ag1 0.020 0.000 0.679 1
Ag2 0.190 0.000 0.340 1
Pb1 0.000 0.500 0.000 1
```

Most intense lines, 10° ≤ 2θ ≤ 90°, sorted by position:
2θ/deg	I_rel
30.39	100
30.65	45
30.87	50
32.85	37
34.77	81
43.87	38